Record 1
NdEuCuS3: theoretical powder X-ray diffraction pattern (λ = 1.5418 Å (Cu Kα)), based on a PBE-relaxed structure.

Most intense lines, 10 to 80 degrees two-theta, in order of rising 2θ:
d = 3.601 Å, 2θ 24.72, rel. 73; d = 3.502 Å, 2θ 25.44, rel. 62; d = 3.162 Å, 2θ 28.22, rel. 46; d = 3.136 Å, 2θ 28.46, rel. 67; d = 2.688 Å, 2θ 33.33, rel. 100; d = 2.022 Å, 2θ 44.83, rel. 45

Cell and atoms:
a b c (Å): 11.037 4.043 11.424
angles (deg): 90.00 90.00 90.00
Fractional positions:
Nd 0.012 0.250 0.183
Nd 0.488 0.750 0.683
Nd 0.512 0.250 0.317
Nd 0.988 0.750 0.817
Eu 0.183 0.250 0.505
Eu 0.317 0.750 0.005
Eu 0.683 0.250 0.995
Eu 0.817 0.750 0.495
Cu 0.244 0.750 0.286
Cu 0.256 0.250 0.786
Cu 0.744 0.750 0.214
Cu 0.756 0.250 0.714
S 0.049 0.750 0.362
S 0.116 0.250 0.943
S 0.223 0.750 0.691
S 0.277 0.250 0.191
S 0.384 0.750 0.443
S 0.451 0.250 0.862
S 0.549 0.750 0.138
S 0.616 0.250 0.557
S 0.723 0.750 0.809
S 0.777 0.250 0.309
S 0.884 0.750 0.057
S 0.951 0.250 0.638

Record 2
Eu2Cu5Ni5: theoretical powder X-ray diffraction pattern (λ = 1.5418 Å (Cu Kα)), based on a PBE-relaxed structure.

Most intense lines, 10 to 80 degrees two-theta, in order of rising 2θ:
d = 2.960 Å, 2θ 30.19, rel. 44; d = 2.537 Å, 2θ 35.38, rel. 33; d = 2.197 Å, 2θ 41.09, rel. 33; d = 2.143 Å, 2θ 42.17, rel. 100; d = 2.002 Å, 2θ 45.29, rel. 25; d = 1.375 Å, 2θ 68.18, rel. 23

Cell and atoms:
a b c (Å): 4.005 5.070 8.794
angles (deg): 90.00 90.00 90.00
Fractional positions:
Eu 0.000 0.000 0.000
Eu 0.000 0.500 0.500
Cu 0.000 0.000 0.332
Cu 0.000 0.000 0.668
Cu 0.000 0.500 0.167
Cu 0.000 0.500 0.833
Cu 0.500 0.000 0.500
Ni 0.500 0.250 0.249
Ni 0.500 0.250 0.751
Ni 0.500 0.500 0.000
Ni 0.500 0.750 0.249
Ni 0.500 0.750 0.751

Record 3
EuCuO3: theoretical powder X-ray diffraction pattern (λ = 1.5418 Å (Cu Kα)), based on a PBE-relaxed structure.

Most intense lines, 10 to 80 degrees two-theta, in order of rising 2θ:
d = 6.904 Å, 2θ 12.82, rel. 43; d = 3.146 Å, 2θ 28.37, rel. 44; d = 2.829 Å, 2θ 31.63, rel. 30; d = 2.799 Å, 2θ 31.97, rel. 100; d = 2.682 Å, 2θ 33.41, rel. 23; d = 1.949 Å, 2θ 46.59, rel. 23

Cell and atoms:
a b c (Å): 8.090 8.090 6.304
angles (deg): 109.59 109.59 47.04
Fractional positions:
Eu 0.024 0.350 0.206
Eu 0.350 0.024 0.706
Eu 0.650 0.976 0.294
Eu 0.976 0.650 0.794
Cu 0.326 0.503 0.496
Cu 0.497 0.674 0.004
Cu 0.503 0.326 0.996
Cu 0.674 0.497 0.504
O 0.013 0.703 0.467
O 0.269 0.335 0.006
O 0.292 0.638 0.990
O 0.297 0.987 0.033
O 0.335 0.269 0.506
O 0.362 0.708 0.510
O 0.638 0.292 0.490
O 0.665 0.731 0.494
O 0.703 0.013 0.967
O 0.708 0.362 0.010
O 0.731 0.665 0.994
O 0.987 0.297 0.533

Record 4
EuCuO3: theoretical powder X-ray diffraction pattern (λ = 1.5418 Å (Cu Kα)), based on a PBE-relaxed structure.

Most intense lines, 10 to 80 degrees two-theta, in order of rising 2θ:
d = 2.705 Å, 2θ 33.11, rel. 100; d = 2.209 Å, 2θ 40.85, rel. 15; d = 1.913 Å, 2θ 47.53, rel. 30; d = 1.562 Å, 2θ 59.15, rel. 38; d = 1.353 Å, 2θ 69.49, rel. 18; d = 1.210 Å, 2θ 79.17, rel. 16

Cell and atoms:
a b c (Å): 3.826 3.826 3.826
angles (deg): 90.00 90.00 90.00
Fractional positions:
Eu 0.000 0.000 0.000
Cu 0.500 0.500 0.500
O 0.000 0.500 0.500
O 0.500 0.000 0.500
O 0.500 0.500 0.000

Record 5
EuCu2O4: theoretical powder X-ray diffraction pattern (λ = 1.5418 Å (Cu Kα)), based on a PBE-relaxed structure.

Most intense lines, 10 to 80 degrees two-theta, in order of rising 2θ:
d = 3.143 Å, 2θ 28.40, rel. 55; d = 2.825 Å, 2θ 31.68, rel. 47; d = 2.524 Å, 2θ 35.57, rel. 100; d = 2.502 Å, 2θ 35.89, rel. 22; d = 1.727 Å, 2θ 53.03, rel. 25; d = 1.572 Å, 2θ 58.75, rel. 28

Cell and atoms:
a b c (Å): 6.364 6.364 6.364
angles (deg): 125.33 125.33 81.00
Fractional positions:
Eu 0.375 0.125 0.250
Eu 0.625 0.875 0.750
Cu 0.000 0.000 0.500
Cu 0.000 0.500 0.000
Cu 0.000 0.500 0.500
Cu 0.500 0.500 0.000
O 0.028 0.147 0.327
O 0.202 0.528 0.381
O 0.320 0.702 0.173
O 0.353 0.180 0.881
O 0.647 0.820 0.119
O 0.680 0.298 0.827
O 0.798 0.472 0.619
O 0.972 0.853 0.673

Record 6
EuCuP: theoretical powder X-ray diffraction pattern (λ = 1.5418 Å (Cu Kα)), based on a PBE-relaxed structure.

Most intense lines, 10 to 80 degrees two-theta, in order of rising 2θ:
d = 3.510 Å, 2θ 25.38, rel. 25; d = 2.673 Å, 2θ 33.53, rel. 100; d = 2.026 Å, 2θ 44.72, rel. 34; d = 1.615 Å, 2θ 57.03, rel. 21; d = 1.445 Å, 2θ 64.47, rel. 22; d = 1.263 Å, 2θ 75.25, rel. 19

Cell and atoms:
a b c (Å): 4.053 4.053 8.248
angles (deg): 90.00 90.00 120.00
Fractional positions:
Eu 0.000 0.000 0.000
Eu 0.000 0.000 0.500
Cu 0.333 0.667 0.250
Cu 0.667 0.333 0.750
P 0.333 0.667 0.750
P 0.667 0.333 0.250

Record 7
Eu2Cu6P5: theoretical powder X-ray diffraction pattern (λ = 1.5418 Å (Cu Kα)), based on a PBE-relaxed structure.

Most intense lines, 10 to 80 degrees two-theta, in order of rising 2θ:
d = 3.639 Å, 2θ 24.46, rel. 34; d = 2.665 Å, 2θ 33.62, rel. 69; d = 2.601 Å, 2θ 34.48, rel. 100; d = 2.476 Å, 2θ 36.28, rel. 32; d = 2.354 Å, 2θ 38.23, rel. 86; d = 2.027 Å, 2θ 44.70, rel. 82

Cell and atoms:
a b c (Å): 12.707 12.707 12.707
angles (deg): 161.64 161.64 26.08
Fractional positions:
Eu 0.149 0.149 0.000
Eu 0.851 0.851 0.000
Cu 0.053 0.553 0.500
Cu 0.250 0.750 0.500
Cu 0.447 0.947 0.500
Cu 0.553 0.053 0.500
Cu 0.750 0.250 0.500
Cu 0.947 0.447 0.500
P 0.000 0.000 0.000
P 0.302 0.302 0.000
P 0.395 0.395 0.000
P 0.605 0.605 0.000
P 0.698 0.698 0.000

Record 8
Eu3Zn2Cu2P4: theoretical powder X-ray diffraction pattern (λ = 1.5418 Å (Cu Kα)), based on a PBE-relaxed structure.

Most intense lines, 10 to 80 degrees two-theta, in order of rising 2θ:
d = 3.545 Å, 2θ 25.12, rel. 25; d = 3.206 Å, 2θ 27.83, rel. 27; d = 2.893 Å, 2θ 30.91, rel. 70; d = 2.578 Å, 2θ 34.80, rel. 100; d = 2.047 Å, 2θ 44.25, rel. 66; d = 1.481 Å, 2θ 62.74, rel. 32

Cell and atoms:
a b c (Å): 4.094 4.094 15.018
angles (deg): 90.00 90.00 120.00
Fractional positions:
Eu 0.000 0.000 0.000
Eu 0.000 0.000 0.273
Eu 0.000 0.000 0.727
Zn 0.333 0.667 0.440
Zn 0.667 0.333 0.560
Cu 0.333 0.667 0.864
Cu 0.667 0.333 0.136
P 0.333 0.667 0.136
P 0.333 0.667 0.607
P 0.667 0.333 0.393
P 0.667 0.333 0.864

Record 9
EuCu4Pd: theoretical powder X-ray diffraction pattern (λ = 1.5418 Å (Cu Kα)), based on a PBE-relaxed structure.

Most intense lines, 10 to 80 degrees two-theta, in order of rising 2θ:
d = 3.068 Å, 2θ 29.11, rel. 31; d = 2.579 Å, 2θ 34.78, rel. 34; d = 2.234 Å, 2θ 40.38, rel. 25; d = 2.201 Å, 2θ 41.01, rel. 100; d = 2.110 Å, 2θ 42.86, rel. 27; d = 1.404 Å, 2θ 66.60, rel. 23

Cell and atoms:
a b c (Å): 5.158 5.158 4.220
angles (deg): 90.00 90.00 120.00
Fractional positions:
Eu 0.000 0.000 0.000
Cu 0.504 0.008 0.500
Cu 0.504 0.496 0.500
Cu 0.667 0.333 0.000
Cu 0.992 0.496 0.500
Pd 0.333 0.667 0.000

Record 10
SmEuCuS3: theoretical powder X-ray diffraction pattern (λ = 1.5418 Å (Cu Kα)), based on a PBE-relaxed structure.

Most intense lines, 10 to 80 degrees two-theta, in order of rising 2θ:
d = 4.067 Å, 2θ 21.86, rel. 94; d = 3.202 Å, 2θ 27.87, rel. 57; d = 3.075 Å, 2θ 29.04, rel. 74; d = 2.800 Å, 2θ 31.96, rel. 100; d = 2.633 Å, 2θ 34.05, rel. 41; d = 2.543 Å, 2θ 35.29, rel. 77

Cell and atoms:
a b c (Å): 10.531 3.965 12.804
angles (deg): 90.00 90.00 90.00
Fractional positions:
Sm 0.017 0.250 0.236
Sm 0.483 0.750 0.736
Sm 0.517 0.250 0.264
Sm 0.983 0.750 0.764
Eu 0.215 0.750 0.498
Eu 0.285 0.250 0.998
Eu 0.715 0.750 0.002
Eu 0.785 0.250 0.502
Cu 0.234 0.250 0.723
Cu 0.266 0.750 0.223
Cu 0.734 0.250 0.777
Cu 0.766 0.750 0.277
S 0.052 0.250 0.616
S 0.102 0.750 0.100
S 0.240 0.750 0.829
S 0.260 0.250 0.329
S 0.398 0.250 0.600
S 0.448 0.750 0.116
S 0.552 0.250 0.884
S 0.602 0.750 0.400
S 0.740 0.750 0.671
S 0.760 0.250 0.171
S 0.898 0.250 0.900
S 0.948 0.750 0.384

Record 11
EuCu2SnS4: theoretical powder X-ray diffraction pattern (λ = 1.5418 Å (Cu Kα)), based on a PBE-relaxed structure.

Most intense lines, 10 to 80 degrees two-theta, in order of rising 2θ:
d = 3.789 Å, 2θ 23.48, rel. 100; d = 3.225 Å, 2θ 27.66, rel. 31; d = 3.039 Å, 2θ 29.39, rel. 72; d = 2.950 Å, 2θ 30.30, rel. 31; d = 2.426 Å, 2θ 37.05, rel. 45; d = 2.319 Å, 2θ 38.84, rel. 30

Cell and atoms:
a b c (Å): 10.507 6.091 6.091
angles (deg): 116.07 90.00 90.00
Fractional positions:
Eu 0.000 0.000 0.000
Eu 0.500 0.000 0.000
Cu 0.126 0.803 0.375
Cu 0.374 0.803 0.375
Cu 0.626 0.375 0.803
Cu 0.874 0.375 0.803
Sn 0.250 0.427 0.731
Sn 0.750 0.731 0.427
S 0.068 0.488 0.006
S 0.250 0.108 0.309
S 0.250 0.816 0.699
S 0.432 0.488 0.006
S 0.568 0.006 0.488
S 0.750 0.309 0.108
S 0.750 0.699 0.816
S 0.932 0.006 0.488

Record 12
EuTmCuS3: theoretical powder X-ray diffraction pattern (λ = 1.5418 Å (Cu Kα)), based on a PBE-relaxed structure.

Most intense lines, 10 to 80 degrees two-theta, in order of rising 2θ:
d = 3.960 Å, 2θ 22.45, rel. 84; d = 2.990 Å, 2θ 29.88, rel. 51; d = 2.763 Å, 2θ 32.41, rel. 71; d = 2.519 Å, 2θ 35.64, rel. 43; d = 2.494 Å, 2θ 36.00, rel. 100; d = 1.967 Å, 2θ 46.14, rel. 58

Cell and atoms:
a b c (Å): 6.694 6.694 10.076
angles (deg): 90.00 90.00 146.28
Fractional positions:
Eu 0.249 0.751 0.750
Eu 0.751 0.249 0.250
Tm 0.000 0.000 0.000
Tm 0.000 0.000 0.500
Cu 0.474 0.526 0.250
Cu 0.526 0.474 0.750
S 0.080 0.920 0.250
S 0.362 0.638 0.068
S 0.362 0.638 0.432
S 0.638 0.362 0.568
S 0.638 0.362 0.932
S 0.920 0.080 0.750